Theoretical powder X-ray diffraction pattern
Compound: CuBr
Radiation: Cu Kα (λ = 1.5418 Å)
Structure: a structure optimized by DFT (GGA-PBE)
Lines closer than 0.1° are merged.

Atomic structure:
```
8
Lattice="5.6990 0.0000 0.0000 0.0000 5.6990 0.0000 0.0000 0.0000 5.6990" Properties=species:S:1:pos:R:3 pbc="T T T"
Cu 0.0000 0.0000 0.0000
Cu 0.0000 2.8495 2.8495
Cu 2.8495 0.0000 2.8495
Cu 2.8495 2.8495 0.0000
Br 1.4248 1.4248 4.2743
Br 1.4248 4.2743 1.4248
Br 4.2743 1.4248 1.4248
Br 4.2743 4.2743 4.2743
```

Principal peaks in the range 2θ from 10° to 80°, low angle first:
2θ = 27.10°, I 100
2θ = 31.39°, I 1
2θ = 44.99°, I 73
2θ = 53.31°, I 43
2θ = 65.52°, I 11
2θ = 72.26°, I 17

=====

Theoretical powder X-ray diffraction pattern
Compound: CuBr
Radiation: Cu Kα (λ = 1.5418 Å)
Structure: a structure optimized by DFT (GGA-PBE)
Lines closer than 0.1° are merged.

Atomic structure:
```
4
Lattice="4.0951 0.0000 0.0000 0.0000 4.0951 0.0000 0.0000 0.0000 5.5327" Properties=species:S:1:pos:R:3 pbc="T T T"
Cu 0.0000 0.0000 0.0000
Cu 2.0475 2.0475 2.7663
Br 0.0000 2.0475 1.3832
Br 2.0475 0.0000 4.1495
```

Principal peaks in the range 2θ from 10° to 80°, low angle first:
2θ = 27.09°, I 100
2θ = 44.24°, I 25
2θ = 45.34°, I 47
2θ = 52.64°, I 30
2θ = 54.57°, I 13
2θ = 64.34°, I 8
2θ = 67.75°, I 3
2θ = 71.14°, I 6
2θ = 72.78°, I 11